Entry 1:
Structure and computed powder diffractogram of CaCu6Pd2 (a structure optimized by DFT (GGA-PBE); Cu Kα (weighted mean of Kα1 and Kα2)).

Largest 10 diffraction maxima, in order of falling intensity, 5° ≤ 2θ ≤ 70°:
20.06 deg, rel. 100, hkl 1 0 0
44.43 deg, rel. 75, hkl 1 1 2
43.00 deg, rel. 61, hkl 2 0 1
49.20 deg, rel. 57, hkl 2 0 2
37.63 deg, rel. 49, hkl 1 1 1
40.77 deg, rel. 46, hkl 2 0 0
45.12 deg, rel. 43, hkl 1 0 3
39.98 deg, rel. 42, hkl 0 0 3
24.03 deg, rel. 31, hkl 1 0 1
69.51 deg, rel. 20, hkl 3 0 2

Cell and atoms:
Cell lengths 5.1109, 5.1109, 6.7658 Å; angles 90.00, 90.00, 120.00 degrees
Space group P6/mmm (No. 191)
Unique sites:
Ca (0.0000, 0.0000, 0.0000) (multiplicity 1)
Cu (0.0000, 0.5000, 0.1880) (multiplicity 6)
Pd (0.3333, 0.6667, 0.5000) (multiplicity 2)

Entry 2:
Structure and computed powder diffractogram of Ac8Ni3NCl3 (a structure optimized by DFT (GGA-PBE); Cu Kα (weighted mean of Kα1 and Kα2)).

Largest 10 diffraction maxima, in order of falling intensity, 5° ≤ 2θ ≤ 70°:
28.81 deg, rel. 100, hkl 0 2 2
28.98 deg, rel. 41, hkl 2 2 0
11.56 deg, rel. 38, hkl 0 0 1
25.76 deg, rel. 33, hkl 2 2 2
25.39 deg, rel. 32, hkl 2 0 0
25.29 deg, rel. 32, hkl 0 2 0
36.74 deg, rel. 29, hkl 2 2 -1
23.24 deg, rel. 28, hkl 0 0 2
42.23 deg, rel. 20, hkl 2 -2 0
42.96 deg, rel. 17, hkl 4 2 2

Cell and atoms:
Cell lengths 8.4223, 8.4497, 9.0340 Å; angles 62.83, 62.73, 60.97 degrees
Space group P-1 (No. 2)
Unique sites:
Ac (0.2135, 0.2125, 0.3053) (multiplicity 2)
Ac (0.2336, 0.7373, 0.2901) (multiplicity 2)
Ac (0.2544, 0.7727, 0.7058) (multiplicity 2)
Ac (0.2664, 0.2662, 0.7039) (multiplicity 2)
Ni (0.0000, 0.5000, 0.5000) (multiplicity 1)
Ni (0.5000, 0.0000, 0.5000) (multiplicity 1)
Ni (0.5000, 0.5000, 0.5000) (multiplicity 1)
N (0.0000, 0.0000, 0.5000) (multiplicity 1)
Cl (0.0000, 0.0000, 0.0000) (multiplicity 1)
Cl (0.0000, 0.5000, 0.0000) (multiplicity 1)
Cl (0.5000, 0.0000, 0.0000) (multiplicity 1)

Entry 3:
Structure and computed powder diffractogram of AlP7 (a structure optimized by DFT (GGA-PBE); Cu Kα (weighted mean of Kα1 and Kα2)).

Largest 3 diffraction maxima, in order of falling intensity, 5° ≤ 2θ ≤ 70°:
40.15 deg, rel. 100, hkl 2 2 2
46.70 deg, rel. 47, hkl 4 0 0
68.19 deg, rel. 29, hkl 4 4 0

Cell and atoms:
Cell lengths 7.7799, 7.7799, 7.7799 Å; angles 90.00, 90.00, 90.00 degrees
Space group Fm-3m (No. 225)
Unique sites:
Al (0.0000, 0.0000, 0.0000) (multiplicity 4)
P (0.0000, 0.0000, 0.5000) (multiplicity 4)
P (0.0000, 0.2500, 0.2500) (multiplicity 24)

Entry 4:
Structure and computed powder diffractogram of AuBrCl2O (a structure optimized by DFT (GGA-PBE); Cu Kα (weighted mean of Kα1 and Kα2)).

Largest 10 diffraction maxima, in order of falling intensity, 5° ≤ 2θ ≤ 70°:
29.09 deg, rel. 100, hkl 1 0 1
32.78 deg, rel. 73, hkl 2 0 0
44.38 deg, rel. 65, hkl 2 1 1
23.02 deg, rel. 63, hkl 1 1 0
33.48 deg, rel. 42, hkl 1 1 1
47.03 deg, rel. 26, hkl 2 2 0
16.22 deg, rel. 24, hkl 1 0 0
60.29 deg, rel. 24, hkl 2 0 2
66.65 deg, rel. 20, hkl 3 2 1
56.26 deg, rel. 16, hkl 3 0 1

Cell and atoms:
Cell lengths 5.4650, 5.4650, 3.7109 Å; angles 90.00, 90.00, 90.00 degrees
Space group P4/mmm (No. 123)
Unique sites:
Au (0.0000, 0.0000, 0.0000) (multiplicity 1)
Br (0.5000, 0.5000, 0.5000) (multiplicity 1)
Cl (0.0000, 0.5000, 0.5000) (multiplicity 2)
O (0.5000, 0.5000, 0.0000) (multiplicity 1)

What is the formula in the third record?
AlP7